No. 1
# Sr5Sb2As
Calculated XRD peak list, CuKα. Input: a structure optimized by DFT (GGA-PBE).

Top 10 peaks for 2θ = 10–80°, low angle first:
| 2theta | I (rel.) |
| --- | --- |
| 28.12 | 100 |
| 28.76 | 73 |
| 28.90 | 85 |
| 30.48 | 66 |
| 31.63 | 21 |
| 32.42 | 42 |
| 36.22 | 46 |
| 45.99 | 20 |
| 46.89 | 27 |
| 57.91 | 24 |

Cell and atoms:
```
data_Sr5Sb2As
_symmetry_space_group_name_H-M 'P n m a'
_symmetry_Int_Tables_number 62
_symmetry_space_group_name_Hall '-P 2ac 2n'
_cell_length_a 13.2981
_cell_length_b 9.9207
_cell_length_c 8.6846
_cell_angle_alpha 90.00
_cell_angle_beta 90.00
_cell_angle_gamma 90.00
loop_
_atom_site_label
_atom_site_fract_x
_atom_site_fract_y
_atom_site_fract_z
Sr1 0.0021 0.2500 0.0437
Sr2 0.0755 0.0364 0.6863
Sr3 0.2017 0.7500 0.3601
Sr4 0.2151 0.2500 0.3352
Sb1 0.1709 0.5096 0.0661
As1 0.0138 0.7500 0.5735
```

---

No. 2
# Na4CuO3
Calculated XRD peak list, CuKα. Input: a structure optimized by DFT (GGA-PBE).

Top 10 peaks for 2θ = 10–80°, low angle first:
| 2theta | I (rel.) |
| --- | --- |
| 17.74 | 29 |
| 19.33 | 45 |
| 23.14 | 69 |
| 26.94 | 36 |
| 33.34 | 40 |
| 35.52 | 100 |
| 36.69 | 94 |
| 37.25 | 91 |
| 47.97 | 31 |
| 56.62 | 41 |

Cell and atoms:
```
data_Na4CuO3
_symmetry_space_group_name_H-M 'C 1 c 1'
_symmetry_Int_Tables_number 9
_symmetry_space_group_name_Hall 'C -2yc'
_cell_length_a 11.2506
_cell_length_b 5.7277
_cell_length_c 8.1221
_cell_angle_alpha 90.00
_cell_angle_beta 114.26
_cell_angle_gamma 90.00
loop_
_atom_site_label
_atom_site_fract_x
_atom_site_fract_y
_atom_site_fract_z
Na1 0.0000 0.1539 0.0000
Na2 0.0979 0.3447 0.6846
Na3 0.3199 0.3277 0.0903
Na4 0.4036 0.2147 0.7789
Cu1 0.2302 0.1456 0.3773
O1 0.0673 0.0070 0.2948
O2 0.2810 0.4506 0.3345
O3 0.3986 0.0099 0.5198
```

---

No. 3
# CaAsH5O6
Calculated XRD peak list, CuKα. Input: a structure optimized by DFT (GGA-PBE).

Top 10 peaks for 2θ = 10–80°, low angle first:
| 2theta | I (rel.) |
| --- | --- |
| 10.24 | 100 |
| 18.35 | 89 |
| 21.53 | 30 |
| 25.12 | 27 |
| 25.65 | 43 |
| 30.21 | 17 |
| 31.03 | 21 |
| 33.46 | 16 |
| 35.98 | 25 |
| 44.45 | 16 |

Cell and atoms:
```
data_CaAsH5O6
_symmetry_space_group_name_H-M 'C 1 c 1'
_symmetry_Int_Tables_number 9
_symmetry_space_group_name_Hall 'C -2yc'
_cell_length_a 6.2360
_cell_length_b 17.2821
_cell_length_c 6.1553
_cell_angle_alpha 90.00
_cell_angle_beta 108.43
_cell_angle_gamma 90.00
loop_
_atom_site_label
_atom_site_fract_x
_atom_site_fract_y
_atom_site_fract_z
Ca1 0.0000 0.1724 0.0000
As1 0.0942 0.3199 0.7041
H1 0.0974 0.0163 0.8206
H2 0.1042 0.0859 0.4872
H3 0.3111 0.0741 0.8601
H4 0.3595 0.4257 0.8349
H5 0.4664 0.1833 0.8156
O1 0.0234 0.0725 0.3254
O2 0.0564 0.3594 0.4182
O3 0.1430 0.3981 0.8772
O4 0.1439 0.0724 0.8167
O5 0.3159 0.2599 0.7134
O6 0.3578 0.2300 0.2091
```